Theoretical X-ray powder pattern of TeMoCl7O for λ = 1.5418 Å (Cu Kα), from a PBE+U-relaxed structure.

```
data_TeMoCl7O
_symmetry_space_group_name_H-M 'P 1 21/c 1'
_symmetry_Int_Tables_number 14
_symmetry_space_group_name_Hall '-P 2ybc'
_cell_length_a 7.987
_cell_length_b 12.912
_cell_length_c 12.682
_cell_angle_alpha 90.00
_cell_angle_beta 92.01
_cell_angle_gamma 90.00
loop_
_atom_site_label
_atom_site_type_symbol
_atom_site_fract_x
_atom_site_fract_y
_atom_site_fract_z
_atom_site_occupancy
Te1 Te 0.233 0.159 0.362 1
Mo1 Mo 0.461 0.585 0.637 1
Cl1 Cl 0.021 0.104 0.241 1
Cl2 Cl 0.044 0.238 0.476 1
Cl3 Cl 0.252 0.004 0.461 1
Cl4 Cl 0.287 0.138 0.767 1
Cl5 Cl 0.293 0.505 0.498 1
Cl6 Cl 0.495 0.734 0.523 1
Cl7 Cl 0.498 0.081 0.223 1
O1 O 0.308 0.632 0.712 1
```

Top 12 peaks for 5 to 70 degrees two-theta, low angle first:
d_spacing	I (rel.)	(hkl)
7.982	41	1 0 0
6.790	67	1 1 0
5.912	74	1 1 1
5.689	100	0 1 2
4.703	78	1 2 -1
3.637	28	1 1 -3
3.030	21	2 2 -2
2.877	50	0 4 2
2.608	27	2 2 3
2.062	22	2 2 -5
1.995	21	4 0 0
1.895	31	2 6 0